(1)
Computed powder diffractogram of Sr3Cu2Sb3 for λ = 1.5418 Å (Cu Kα), from a crystal structure in Alexandria, relaxed with PBE.

Peak list (8 most intense, 2θ from 10° to 90°, low angle first)
| d [Å] | 2theta | I_rel |
| --- | --- | --- |
| 3.034 | 29.44 | 77 |
| 2.981 | 29.98 | 36 |
| 2.922 | 30.59 | 73 |
| 2.662 | 33.67 | 32 |
| 2.636 | 34.01 | 100 |
| 2.416 | 37.22 | 54 |
| 2.291 | 39.32 | 50 |
| 1.622 | 56.75 | 29 |

Structural model:
Cell: 6.4885 6.4885 15.9727 Å, 90.00 90.00 138.64°
Element x y z (fractional)
Sr (0.0762, 0.9238, 0.6034)
Sr (0.0762, 0.9238, 0.8966)
Sr (0.3489, 0.6511, 0.7500)
Sr (0.6511, 0.3489, 0.2500)
Sr (0.9238, 0.0762, 0.1034)
Sr (0.9238, 0.0762, 0.3966)
Cu (0.2329, 0.7671, 0.0995)
Cu (0.2329, 0.7671, 0.4005)
Cu (0.7671, 0.2329, 0.5995)
Cu (0.7671, 0.2329, 0.9005)
Sb (0.3519, 0.6481, 0.2500)
Sb (0.3590, 0.6410, 0.5465)
Sb (0.3590, 0.6410, 0.9535)
Sb (0.6410, 0.3590, 0.0465)
Sb (0.6410, 0.3590, 0.4535)
Sb (0.6481, 0.3519, 0.7500)

=====

(2)
Computed powder diffractogram of Ti3ZnN for λ = 1.5418 Å (Cu Kα), from a crystal structure in Alexandria, relaxed with PBE.

Peak list (8 most intense, 2θ from 10° to 90°, low angle first)
| d [Å] | 2theta | I_rel |
| --- | --- | --- |
| 2.373 | 37.92 | 100 |
| 2.060 | 43.95 | 21 |
| 2.053 | 44.12 | 40 |
| 1.454 | 64.04 | 23 |
| 1.451 | 64.17 | 11 |
| 1.241 | 76.78 | 11 |
| 1.238 | 77.02 | 21 |
| 1.187 | 81.04 | 11 |

Structural model:
Cell: 5.8057 5.8057 4.1201 Å, 90.00 90.00 90.00°
Element x y z (fractional)
Ti (0.0000, 0.0000, 0.0000)
Ti (0.2384, 0.2616, 0.5000)
Ti (0.2616, 0.7617, 0.5000)
Ti (0.5000, 0.5000, 0.0000)
Ti (0.7383, 0.2384, 0.5000)
Ti (0.7617, 0.7383, 0.5000)
Zn (0.0000, 0.5000, 0.0000)
Zn (0.5000, 0.0000, 0.0000)
N (0.0000, 0.0000, 0.5000)
N (0.5000, 0.5000, 0.5000)